The following is a computed powder X-ray diffraction pattern of PrBi2O6. It was derived from a GGA-PBE-relaxed structure, using CuKα.

Principal peaks in the range 10° ≤ 2θ ≤ 90°, by intensity:
two_theta  intensity
30.1  100
21.2  64
31.0  26
54.6  24
29.1  22
43.0  21
48.5  17
62.6  15
18.7  15
43.2  14

Structure:
abc: 8.379 6.137 5.768
angles: 90.00 90.00 90.00
Atoms (fractional coordinates):
1 Pr 0.000 0.170 0.000
2 Pr 0.500 0.830 0.500
3 Bi 0.249 0.732 0.982
4 Bi 0.251 0.268 0.482
5 Bi 0.749 0.268 0.482
6 Bi 0.751 0.732 0.982
7 O 0.000 0.273 0.603
8 O 0.000 0.788 0.898
9 O 0.188 0.433 0.159
10 O 0.206 0.981 0.251
11 O 0.294 0.019 0.751
12 O 0.312 0.567 0.659
13 O 0.500 0.212 0.398
14 O 0.500 0.727 0.103
15 O 0.688 0.567 0.659
16 O 0.706 0.019 0.751
17 O 0.794 0.981 0.251
18 O 0.812 0.433 0.159

=====

The following is a computed powder X-ray diffraction pattern of Pr3BiO. It was derived from a GGA-PBE-relaxed structure, using CuKα.

Principal peaks in the range 10° ≤ 2θ ≤ 90°, by intensity:
two_theta  intensity
30.0  100
30.8  93
32.4  43
36.3  36
36.8  30
49.4  26
52.7  22
55.7  14
61.4  14
50.9  13

Structure:
abc: 6.622 6.622 9.766
angles: 113.74 113.74 43.90
Atoms (fractional coordinates):
1 Pr 0.115 0.115 0.188
2 Pr 0.128 0.128 0.666
3 Pr 0.355 0.355 0.059
4 Pr 0.645 0.645 0.941
5 Pr 0.872 0.872 0.334
6 Pr 0.885 0.885 0.812
7 Bi 0.390 0.390 0.584
8 Bi 0.610 0.610 0.416
9 O 0.119 0.119 0.929
10 O 0.881 0.881 0.071

=====

The following is a computed powder X-ray diffraction pattern of PrBiSeO2. It was derived from a GGA-PBE-relaxed structure, using CuKα.

Principal peaks in the range 10° ≤ 2θ ≤ 90°, by intensity:
two_theta  intensity
25.4  100
30.9  65
30.6  63
32.0  55
35.1  45
32.1  43
47.5  33
43.5  31
54.3  29
54.1  26

Structure:
abc: 6.750 4.160 7.883
angles: 90.00 106.38 90.00
Atoms (fractional coordinates):
1 Pr 0.191 0.250 0.426
2 Pr 0.809 0.750 0.574
3 Bi 0.185 0.250 0.916
4 Bi 0.815 0.750 0.084
5 Se 0.442 0.750 0.723
6 Se 0.558 0.250 0.277
7 O 0.013 0.750 0.888
8 O 0.018 0.750 0.369
9 O 0.982 0.250 0.631
10 O 0.987 0.250 0.112

=====

The following is a computed powder X-ray diffraction pattern of PrTcBi2O8. It was derived from a GGA-PBE-relaxed structure, using CuKα.

Principal peaks in the range 10° ≤ 2θ ≤ 90°, by intensity:
two_theta  intensity
31.1  100
23.6  58
24.3  56
47.3  40
46.5  39
34.2  32
59.2  20
64.9  12
16.9  12
54.8  11

Structure:
abc: 5.251 6.863 5.254
angles: 90.00 91.73 90.00
Atoms (fractional coordinates):
1 Pr 0.000 0.000 0.000
2 Tc 0.000 0.500 0.000
3 Bi 0.500 0.253 0.500
4 Bi 0.500 0.747 0.500
5 O 0.180 0.291 0.183
6 O 0.180 0.709 0.183
7 O 0.247 0.500 0.757
8 O 0.318 0.000 0.684
9 O 0.682 0.000 0.316
10 O 0.753 0.500 0.243
11 O 0.820 0.291 0.817
12 O 0.820 0.709 0.817

=====

The following is a computed powder X-ray diffraction pattern of PrBiTe2O. It was derived from a GGA-PBE-relaxed structure, using CuKα.

Principal peaks in the range 10° ≤ 2θ ≤ 90°, by intensity:
two_theta  intensity
29.6  100
34.7  70
42.3  42
37.1  37
55.8  36
26.6  31
21.9  28
21.5  27
69.6  18
48.1  14

Structure:
abc: 4.273 4.273 16.237
angles: 90.00 90.00 90.00
Atoms (fractional coordinates):
1 Pr 0.250 0.250 0.070
2 Pr 0.750 0.750 0.930
3 Bi 0.250 0.250 0.642
4 Bi 0.750 0.750 0.358
5 Te 0.250 0.250 0.409
6 Te 0.250 0.250 0.820
7 Te 0.750 0.750 0.180
8 Te 0.750 0.750 0.591
9 O 0.250 0.750 0.000
10 O 0.750 0.250 0.000

=====

The following is a computed powder X-ray diffraction pattern of PrTi6Bi7O24. It was derived from a GGA-PBE-relaxed structure, using CuKα.

Principal peaks in the range 10° ≤ 2θ ≤ 90°, by intensity:
two_theta  intensity
29.6  100
23.1  23
46.8  22
32.8  19
32.5  18
56.6  16
15.8  14
37.4  13
50.6  10
26.5  9

Structure:
abc: 5.458 5.511 17.056
angles: 80.92 89.99 89.98
Atoms (fractional coordinates):
1 Pr 0.000 0.000 0.000
2 Ti 0.492 0.828 0.382
3 Ti 0.494 0.959 0.122
4 Ti 0.496 0.083 0.872
5 Ti 0.982 0.460 0.121
6 Ti 0.987 0.328 0.382
7 Ti 0.988 0.592 0.873
8 Bi 0.015 0.084 0.707
9 Bi 0.464 0.583 0.708
10 Bi 0.483 0.342 0.260
11 Bi 0.489 0.488 0.992
12 Bi 0.512 0.166 0.554
13 Bi 0.968 0.666 0.554
14 Bi 0.997 0.842 0.260
15 O 0.059 0.449 0.236
16 O 0.059 0.647 0.768
17 O 0.201 0.217 0.101
18 O 0.205 0.633 0.369
19 O 0.213 0.317 0.908
20 O 0.232 0.400 0.627
21 O 0.248 0.900 0.627
22 O 0.270 0.816 0.907
23 O 0.271 0.725 0.100
24 O 0.272 0.133 0.369
25 O 0.420 0.946 0.236
26 O 0.422 0.151 0.768
27 O 0.547 0.781 0.485
28 O 0.562 0.067 0.007
29 O 0.695 0.276 0.138
30 O 0.698 0.394 0.878
31 O 0.722 0.595 0.345
32 O 0.732 0.399 0.630
33 O 0.749 0.899 0.630
34 O 0.756 0.095 0.345
35 O 0.783 0.894 0.875
36 O 0.787 0.782 0.135
37 O 0.915 0.556 0.007
38 O 0.932 0.281 0.485

=====

The following is a computed powder X-ray diffraction pattern of BiPt3O6. It was derived from a GGA-PBE-relaxed structure, using CuKα.

Principal peaks in the range 10° ≤ 2θ ≤ 90°, by intensity:
two_theta  intensity
30.1  100
30.8  98
50.6  58
35.6  52
60.2  30
34.7  28
61.5  27
81.9  18
59.4  16
59.9  15

Structure:
abc: 6.312 6.312 3.504
angles: 90.00 90.00 109.85
Atoms (fractional coordinates):
1 Bi 0.000 0.000 0.000
2 Pt 0.000 0.500 0.500
3 Pt 0.500 0.000 0.500
4 Pt 0.500 0.500 0.000
5 O 0.160 0.840 0.500
6 O 0.164 0.429 0.000
7 O 0.429 0.164 0.000
8 O 0.571 0.836 0.000
9 O 0.836 0.571 0.000
10 O 0.840 0.160 0.500

=====

The following is a computed powder X-ray diffraction pattern of Bi2PtRhO8. It was derived from a GGA-PBE-relaxed structure, using CuKα.

Principal peaks in the range 10° ≤ 2θ ≤ 90°, by intensity:
two_theta  intensity
25.5  100
32.6  96
26.0  89
32.3  83
49.9  69
50.5  33
49.3  33
36.2  33
37.3  24
62.7  20

Structure:
abc: 4.819 6.682 4.958
angles: 90.00 91.07 90.00
Atoms (fractional coordinates):
1 Bi 0.000 0.249 0.000
2 Bi 0.000 0.751 0.000
3 Pt 0.500 0.500 0.500
4 Rh 0.500 0.000 0.500
5 O 0.245 0.500 0.178
6 O 0.256 0.000 0.177
7 O 0.290 0.249 0.635
8 O 0.290 0.751 0.635
9 O 0.710 0.249 0.365
10 O 0.710 0.751 0.365
11 O 0.744 0.000 0.823
12 O 0.755 0.500 0.822

=====

The following is a computed powder X-ray diffraction pattern of UBiPtO6. It was derived from a GGA-PBE-relaxed structure, using CuKα.

Principal peaks in the range 10° ≤ 2θ ≤ 90°, by intensity:
two_theta  intensity
25.6  100
33.0  50
48.5  47
42.2  27
54.6  26
58.9  15
17.1  13
34.6  13
70.1  11
56.7  11

Structure:
abc: 5.432 5.432 10.378
angles: 90.00 90.00 120.00
Atoms (fractional coordinates):
1 U 0.333 0.667 0.250
2 U 0.667 0.333 0.750
3 Bi 0.000 0.000 0.000
4 Bi 0.000 0.000 0.500
5 Pt 0.333 0.667 0.750
6 Pt 0.667 0.333 0.250
7 O 0.013 0.358 0.638
8 O 0.013 0.654 0.862
9 O 0.346 0.358 0.862
10 O 0.346 0.987 0.638
11 O 0.358 0.013 0.138
12 O 0.358 0.346 0.362
13 O 0.642 0.654 0.638
14 O 0.642 0.987 0.862
15 O 0.654 0.013 0.362
16 O 0.654 0.642 0.138
17 O 0.987 0.346 0.138
18 O 0.987 0.642 0.362